[1]
# TaI5
Theoretical powder X-ray diffraction pattern, Cu Kα X-rays. Input: a DFT-relaxed cell (PBE, the Materials Project).

Structural model:
```
48
Lattice="15.0817 0.0000 0.0000 0.0000 20.9173 0.0000 0.0000 0.0000 7.1245" Properties=species:S:1:pos:R:3 pbc="T T T"
Ta 1.8931 2.9580 0.0164
Ta 1.8931 7.5007 0.0164
Ta 5.6478 13.4166 3.5786
Ta 5.6478 17.9593 3.5786
Ta 9.4339 2.9580 3.5459
Ta 9.4339 7.5007 3.5459
Ta 13.1887 13.4166 7.1082
Ta 13.1887 17.9593 7.1082
I 0.3261 13.6245 1.5580
I 0.3261 17.7514 1.5580
I 0.6799 1.3130 1.7245
I 0.6799 9.1456 1.7245
I 0.8167 5.2293 1.5384
I 2.9731 5.2293 5.6207
I 3.0962 1.3049 5.4311
I 3.0962 9.1537 5.4311
I 3.4270 13.6174 5.1505
I 3.4270 17.7585 5.1505
I 4.1139 3.1588 1.5883
I 4.1139 7.2998 1.5883
I 4.4446 11.7635 1.8689
I 4.4446 19.6123 1.8689
I 4.5677 15.6879 2.0584
I 6.7242 15.6879 5.1007
I 6.8610 11.7716 5.2868
I 6.8610 19.6043 5.2868
I 7.2147 3.1659 5.1203
I 7.2147 7.2927 5.1203
I 7.8670 13.6245 2.0043
I 7.8670 17.7514 2.0043
I 8.2207 1.3130 1.8377
I 8.2207 9.1456 1.8377
I 8.3575 5.2293 2.0239
I 10.5140 5.2293 5.0661
I 10.6371 1.3049 5.2557
I 10.6371 9.1537 5.2557
I 10.9679 13.6174 5.5363
I 10.9679 17.7585 5.5363
I 11.6547 3.1588 1.9740
I 11.6547 7.2998 1.9740
I 11.9855 11.7635 1.6934
I 11.9855 19.6123 1.6934
I 12.1086 15.6879 1.5038
I 14.2651 15.6879 5.5861
I 14.4019 11.7716 5.4000
I 14.4019 19.6043 5.4000
I 14.7556 3.1659 5.5665
I 14.7556 7.2927 5.5665
```

Largest 10 diffraction maxima, by intensity, 15° ≤ 2θ ≤ 90°:
2θ/deg	intensity	h k l
27.41	100	2 5 1
26.75	43	4 0 1
35.16	34	2 5 2
41.93	28	6 5 0
34.64	27	4 0 2
45.54	22	2 5 3
25.00	20	0 0 2
16.96	16	0 4 0
68.31	14	6 5 4
43.25	13	0 10 0

---

[2]
# Na2MgTiO3
Theoretical powder X-ray diffraction pattern, Cu Kα X-rays. Input: a DFT-relaxed cell (PBE, the Materials Project).

Structural model:
```
7
Lattice="3.0004 0.0000 0.0000 -0.0045 5.6229 0.0000 -1.4865 -1.9722 5.4421" Properties=species:S:1:pos:R:3 pbc="T T T"
Na 0.0000 0.0000 0.0000
Na -0.0004 1.8564 3.1135
Mg 1.5010 -0.8200 2.6282
Ti 1.4990 2.5773 0.4711
O -0.0024 3.7616 1.4110
O 1.4991 1.0255 1.4815
O 1.5116 0.3402 4.5329
```

Largest 10 diffraction maxima, by intensity, 15° ≤ 2θ ≤ 90°:
2θ/deg	intensity	h k l
36.74	100	-1 1 1
46.14	66	1 1 1
38.56	62	0 2 -2
16.29	59	0 0 1
16.77	42	0 1 0
33.92	41	0 2 0
19.01	29	0 1 -1
38.94	28	1 -1 1
58.56	24	1 -3 1
61.85	19	2 0 -1